Entry 1:
Theoretical X-ray diffraction stick pattern
Compound: K3NaP4H4O14
Radiation: λ = 1.5418 Å (Cu Kα)
Structure: DFT lattice parameters and positions (GGA-PBE)
Kinematic intensities with the Lorentz-polarization factor, no thermal factor.

Largest 10 diffraction maxima, in order of falling intensity, 5° ≤ 2θ ≤ 70°:
28.88 deg, intensity 100
26.61 deg, intensity 96
27.27 deg, intensity 66
23.74 deg, intensity 62
32.09 deg, intensity 62
29.06 deg, intensity 60
28.67 deg, intensity 54
15.90 deg, intensity 37
32.38 deg, intensity 32
28.30 deg, intensity 31

Atomic structure:
```
data_K3NaP4H4O14
_cell_length_a 17.203
_cell_length_b 7.308
_cell_length_c 11.304
_cell_angle_alpha 90.00
_cell_angle_beta 100.18
_cell_angle_gamma 90.00
_space_group_name_H-M_alt 'C 1 c 1'
_space_group_IT_number 9
loop_
_space_group_symop_operation_xyz
'x,y,z'
'x,-y,z+1/2'
'x+1/2,y+1/2,z'
'x+1/2,-y+1/2,z+1/2'
loop_
_atom_site_label
_atom_site_fract_x
_atom_site_fract_y
_atom_site_fract_z
K1 0.000 0.167 0.000
K2 0.221 0.325 0.048
K3 0.360 0.201 0.774
Na1 0.111 0.251 0.525
P1 0.055 0.475 0.784
P2 0.166 0.025 0.266
P3 0.292 0.265 0.411
P4 0.429 0.250 0.133
H1 0.062 0.183 0.291
H2 0.159 0.318 0.760
H3 0.357 0.020 0.511
H4 0.367 0.417 0.256
O1 0.018 0.348 0.229
O2 0.082 0.466 0.917
O3 0.097 0.081 0.337
O4 0.124 0.419 0.714
O5 0.138 0.031 0.133
O6 0.204 0.150 0.821
O7 0.231 0.190 0.294
O8 0.250 0.297 0.515
O9 0.330 0.430 0.363
O10 0.358 0.110 0.438
O11 0.363 0.106 0.109
O12 0.394 0.432 0.180
O13 0.472 0.293 0.032
O14 0.490 0.188 0.254
```

***

Entry 2:
Theoretical X-ray diffraction stick pattern
Compound: DyErTm4Sc2
Radiation: λ = 1.5418 Å (Cu Kα)
Structure: DFT lattice parameters and positions (GGA-PBE)
Kinematic intensities with the Lorentz-polarization factor, no thermal factor.

Largest 10 diffraction maxima, in order of falling intensity, 5° ≤ 2θ ≤ 70°:
31.88 deg, intensity 100
53.29 deg, intensity 35
36.94 deg, intensity 34
63.41 deg, intensity 28
37.05 deg, intensity 17
63.55 deg, intensity 14
66.63 deg, intensity 12
15.79 deg, intensity 7
15.13 deg, intensity 6
30.49 deg, intensity 5

Atomic structure:
```
data_DyErTm4Sc2
_cell_length_a 5.950
_cell_length_b 3.441
_cell_length_c 11.405
_cell_angle_alpha 90.00
_cell_angle_beta 100.16
_cell_angle_gamma 90.00
_space_group_name_H-M_alt 'P 1 2/m 1'
_space_group_IT_number 10
loop_
_space_group_symop_operation_xyz
'x,y,z'
'-x,-y,-z'
'-x,y,-z'
'x,-y,z'
loop_
_atom_site_label
_atom_site_fract_x
_atom_site_fract_y
_atom_site_fract_z
Dy1 0.000 0.000 0.000
Er1 0.000 0.500 0.500
Tm1 0.253 0.000 0.752
Tm2 0.253 0.500 0.253
Sc1 0.500 0.000 0.500
Sc2 0.500 0.500 0.000
```

***

Entry 3:
Theoretical X-ray diffraction stick pattern
Compound: AcLaPbSe
Radiation: λ = 1.5418 Å (Cu Kα)
Structure: DFT lattice parameters and positions (GGA-PBE)
Kinematic intensities with the Lorentz-polarization factor, no thermal factor.

Largest 10 diffraction maxima, in order of falling intensity, 5° ≤ 2θ ≤ 70°:
27.15 deg, intensity 100
39.10 deg, intensity 77
27.60 deg, intensity 48
48.26 deg, intensity 42
38.78 deg, intensity 39
13.70 deg, intensity 23
63.32 deg, intensity 19
63.55 deg, intensity 19
64.24 deg, intensity 18
30.53 deg, intensity 15

Atomic structure:
```
data_AcLaPbSe
_cell_length_a 4.645
_cell_length_b 4.645
_cell_length_c 6.464
_cell_angle_alpha 90.00
_cell_angle_beta 90.00
_cell_angle_gamma 90.00
_space_group_name_H-M_alt 'P 4/m m m'
_space_group_IT_number 123
_space_group_name_Hall '-P 4 2'
loop_
_atom_site_label
_atom_site_fract_x
_atom_site_fract_y
_atom_site_fract_z
Ac1 0.000 0.000 0.000
La1 0.500 0.500 0.500
Pb1 0.500 0.500 0.000
Se1 0.000 0.000 0.500
```

***

Entry 4:
Theoretical X-ray diffraction stick pattern
Compound: K3LiTh2O6
Radiation: λ = 1.5418 Å (Cu Kα)
Structure: DFT lattice parameters and positions (GGA-PBE)
Kinematic intensities with the Lorentz-polarization factor, no thermal factor.

Largest 10 diffraction maxima, in order of falling intensity, 5° ≤ 2θ ≤ 70°:
14.12 deg, intensity 100
30.05 deg, intensity 90
34.31 deg, intensity 89
16.99 deg, intensity 50
18.94 deg, intensity 43
34.55 deg, intensity 40
28.45 deg, intensity 38
21.63 deg, intensity 32
48.45 deg, intensity 31
50.50 deg, intensity 30

Atomic structure:
```
data_K3LiTh2O6
_cell_length_a 6.256
_cell_length_b 10.876
_cell_length_c 6.598
_cell_angle_alpha 90.00
_cell_angle_beta 108.01
_cell_angle_gamma 90.00
_space_group_name_H-M_alt 'C 1 2/m 1'
_space_group_IT_number 12
loop_
_space_group_symop_operation_xyz
'x,y,z'
'-x,-y,-z'
'-x,y,-z'
'x,-y,z'
'x+1/2,y+1/2,z'
'-x+1/2,-y+1/2,-z'
'-x+1/2,y+1/2,-z'
'x+1/2,-y+1/2,z'
loop_
_atom_site_label
_atom_site_fract_x
_atom_site_fract_y
_atom_site_fract_z
K1 0.000 0.000 0.000
K2 0.000 0.345 0.000
Li1 0.000 0.500 0.500
Th1 0.000 0.167 0.500
O1 0.205 0.000 0.690
O2 0.245 0.318 0.695
```

***

Entry 5:
Theoretical X-ray diffraction stick pattern
Compound: Ga4C23
Radiation: λ = 1.5418 Å (Cu Kα)
Structure: DFT lattice parameters and positions (GGA-PBE)
Kinematic intensities with the Lorentz-polarization factor, no thermal factor.

Largest 10 diffraction maxima, in order of falling intensity, 5° ≤ 2θ ≤ 70°:
29.67 deg, intensity 100
46.05 deg, intensity 92
27.03 deg, intensity 70
49.43 deg, intensity 47
44.28 deg, intensity 45
68.51 deg, intensity 23
57.24 deg, intensity 20
69.85 deg, intensity 13
55.74 deg, intensity 13
58.72 deg, intensity 8

Atomic structure:
```
data_Ga4C23
_cell_length_a 7.375
_cell_length_b 7.375
_cell_length_c 7.375
_cell_angle_alpha 90.00
_cell_angle_beta 90.00
_cell_angle_gamma 90.00
_space_group_name_H-M_alt 'P m -3 n'
_space_group_IT_number 223
_space_group_name_Hall '-P 4n 2 3'
loop_
_atom_site_label
_atom_site_fract_x
_atom_site_fract_y
_atom_site_fract_z
Ga1 0.000 0.000 0.000
Ga2 0.000 0.250 0.500
C1 0.000 0.276 0.215
C2 0.000 0.500 0.250
C3 0.186 0.186 0.186
```

***

Entry 6:
Theoretical X-ray diffraction stick pattern
Compound: CeSb3Pd5
Radiation: λ = 1.5418 Å (Cu Kα)
Structure: DFT lattice parameters and positions (GGA-PBE)
Kinematic intensities with the Lorentz-polarization factor, no thermal factor.

Largest 10 diffraction maxima, in order of falling intensity, 5° ≤ 2θ ≤ 70°:
41.24 deg, intensity 100
35.62 deg, intensity 92
43.74 deg, intensity 71
30.48 deg, intensity 65
31.96 deg, intensity 58
41.40 deg, intensity 54
28.83 deg, intensity 39
38.75 deg, intensity 32
25.37 deg, intensity 29
43.20 deg, intensity 28

Atomic structure:
```
data_CeSb3Pd5
_cell_length_a 4.139
_cell_length_b 14.042
_cell_length_c 13.048
_cell_angle_alpha 90.00
_cell_angle_beta 90.00
_cell_angle_gamma 90.00
_space_group_name_H-M_alt 'C m c m'
_space_group_IT_number 63
_space_group_name_Hall '-C 2c 2'
loop_
_atom_site_label
_atom_site_fract_x
_atom_site_fract_y
_atom_site_fract_z
Ce1 0.000 0.128 0.250
Sb1 0.000 0.130 0.750
Sb2 0.000 0.381 0.556
Pd1 0.000 0.000 0.000
Pd2 0.000 0.196 0.559
Pd3 0.000 0.442 0.143
```

***

Entry 7:
Theoretical X-ray diffraction stick pattern
Compound: Ho4Ag3Rh
Radiation: λ = 1.5418 Å (Cu Kα)
Structure: DFT lattice parameters and positions (GGA-PBE)
Kinematic intensities with the Lorentz-polarization factor, no thermal factor.

Largest 10 diffraction maxima, in order of falling intensity, 5° ≤ 2θ ≤ 70°:
35.49 deg, intensity 100
35.86 deg, intensity 50
64.20 deg, intensity 35
51.61 deg, intensity 18
63.49 deg, intensity 16
50.51 deg, intensity 8
25.14 deg, intensity 4
24.64 deg, intensity 2
43.99 deg, intensity 2
31.35 deg, intensity 1

Atomic structure:
```
data_Ho4Ag3Rh
_cell_length_a 3.542
_cell_length_b 3.542
_cell_length_c 14.454
_cell_angle_alpha 90.00
_cell_angle_beta 90.00
_cell_angle_gamma 90.00
_space_group_name_H-M_alt 'P 4/m m m'
_space_group_IT_number 123
_space_group_name_Hall '-P 4 2'
loop_
_atom_site_label
_atom_site_fract_x
_atom_site_fract_y
_atom_site_fract_z
Ho1 0.000 0.000 0.113
Ho2 0.000 0.000 0.371
Ag1 0.500 0.500 0.245
Ag2 0.500 0.500 0.500
Rh1 0.500 0.500 0.000
```

***

Entry 8:
Theoretical X-ray diffraction stick pattern
Compound: Ca4Ag3Pd2
Radiation: λ = 1.5418 Å (Cu Kα)
Structure: DFT lattice parameters and positions (GGA-PBE)
Kinematic intensities with the Lorentz-polarization factor, no thermal factor.

Largest 10 diffraction maxima, in order of falling intensity, 5° ≤ 2θ ≤ 70°:
36.28 deg, intensity 100
34.30 deg, intensity 83
22.59 deg, intensity 42
50.78 deg, intensity 28
63.99 deg, intensity 26
65.25 deg, intensity 16
42.17 deg, intensity 15
45.82 deg, intensity 12
68.34 deg, intensity 12
52.27 deg, intensity 10

Atomic structure:
```
data_Ca4Ag3Pd2
_cell_length_a 4.9532
_cell_length_b 4.9532
_cell_length_c 9.8942
_cell_angle_alpha 90.00
_cell_angle_beta 90.00
_cell_angle_gamma 120.00
_space_group_name_H-M_alt 'P -3 m 1'
_space_group_IT_number 164
_space_group_name_Hall '-P 3 2"'
loop_
_atom_site_label
_atom_site_fract_x
_atom_site_fract_y
_atom_site_fract_z
Ca1 0.0000 0.0000 0.1724
Ca2 0.3333 0.6667 0.3857
Ag1 0.0000 0.0000 0.5000
Ag2 0.3333 0.6667 0.9909
Pd1 0.3333 0.6667 0.6984
```